(1)
Starting from the GGA-PBE geometry in Alexandria, the powder XRD pattern of Pr3BSe6 was simulated for Cu Kα, 1.54184 Å.
Lines closer than 0.1° are merged.

Structural model:
```
data_Pr3BSe6
_cell_length_a 11.5205
_cell_length_b 14.1145
_cell_length_c 6.7961
_cell_angle_alpha 90.00
_cell_angle_beta 90.00
_cell_angle_gamma 90.00
_symmetry_space_group_name_H-M 'C m c 21'
_symmetry_Int_Tables_number 36
_symmetry_space_group_name_Hall 'C 2c -2'
loop_
_atom_site_label
_atom_site_type_symbol
_atom_site_fract_x
_atom_site_fract_y
_atom_site_fract_z
Pr1 Pr 0.0000 0.1029 0.0000
Pr2 Pr 0.1812 0.3989 0.1001
B1 B 0.0000 0.3049 0.6470
Se1 Se 0.0000 0.2906 0.3393
Se2 Se 0.0000 0.4460 0.7604
Se3 Se 0.1486 0.2459 0.7780
Se4 Se 0.1613 0.0293 0.3015
```

Principal peaks in the range 5 to 70 degrees two-theta, most intense first:
Position (°2θ)	I/Imax	(hkl)
32.86	100.0	3 3 1
23.85	99.1	2 2 1
35.86	85.9	3 1 2
36.72	56.8	0 4 2
24.27	54.9	1 3 1
39.63	46.8	3 5 0

---

(2)
Starting from the GGA-PBE geometry in Alexandria, the powder XRD pattern of PrSmB12 was simulated for Cu Kα, 1.54184 Å.
Lines closer than 0.1° are merged.

Structural model:
```
data_PrSmB12
_cell_length_a 4.1323
_cell_length_b 4.1323
_cell_length_c 8.2653
_cell_angle_alpha 90.00
_cell_angle_beta 90.00
_cell_angle_gamma 90.00
_symmetry_space_group_name_H-M 'P 4/m m m'
_symmetry_Int_Tables_number 123
_symmetry_space_group_name_Hall '-P 4 2'
loop_
_atom_site_label
_atom_site_type_symbol
_atom_site_fract_x
_atom_site_fract_y
_atom_site_fract_z
Pr1 Pr 0.0000 0.0000 0.0000
Sm1 Sm 0.0000 0.0000 0.5000
B1 B 0.1997 0.5000 0.2511
B2 B 0.5000 0.5000 0.1002
B3 B 0.5000 0.5000 0.4008
```

Principal peaks in the range 5 to 70 degrees two-theta, most intense first:
Position (°2θ)	I/Imax	(hkl)
30.59	100.0	1 1 0
21.50	65.7	1 0 0
49.31	49.7	2 1 0
37.70	42.2	1 1 2
68.06	27.9	2 2 2
54.38	27.4	2 1 2

---

Question: Number 1 is which compound?
Answer: Pr3BSe6